# 1
The following is a theoretical powder XRD pattern of Sm2Dy2HoEr. It was derived from a DFT-relaxed cell (GGA-PBE, Alexandria), using Cu Kα (weighted mean of Kα1 and Kα2).
Kinematic intensities with the Lorentz-polarization factor, no thermal factor.

Peak list (8 most intense, 2θ from 10° to 90°, in order of rising 2θ)
2θ/deg	I (rel.)
26.9	33.1
29.0	100.0
30.1	77.9
30.5	79.7
31.5	44.0
34.0	68.7
36.1	40.1
41.3	67.0

Atomic structure:
Cell lengths 6.555, 17.826, 3.371 Å; angles 90.00, 90.00, 90.00 degrees
Element x y z (fractional)
Sm 0.232 0.184 0.000
Sm 0.268 0.684 0.500
Sm 0.732 0.316 0.500
Sm 0.768 0.816 0.000
Dy 0.229 0.354 0.500
Dy 0.271 0.854 0.000
Dy 0.729 0.146 0.000
Dy 0.771 0.646 0.500
Ho 0.000 0.500 0.000
Ho 0.500 0.000 0.500
Er 0.000 0.000 0.000
Er 0.500 0.500 0.500

# 2
The following is a theoretical powder XRD pattern of Sr2CdSi3. It was derived from a DFT-relaxed cell (GGA-PBE, Alexandria), using Cu Kα (weighted mean of Kα1 and Kα2).
Kinematic intensities with the Lorentz-polarization factor, no thermal factor.

Peak list (8 most intense, 2θ from 10° to 90°, in order of rising 2θ)
2θ/deg	I (rel.)
27.9	36.9
31.2	100.0
35.3	41.5
36.8	15.7
38.4	24.7
43.9	16.7
48.1	17.2
57.5	19.5

Atomic structure:
Cell lengths 8.182, 8.182, 8.182 Å; angles 150.79, 146.68, 44.89 degrees
Element x y z (fractional)
Sr 0.000 0.000 0.000
Sr 0.769 0.269 0.500
Cd 0.595 0.595 0.000
Si 0.180 0.680 0.500
Si 0.336 0.836 0.500
Si 0.421 0.421 0.000

# 3
The following is a theoretical powder XRD pattern of CsPb4Cl8. It was derived from a DFT-relaxed cell (GGA-PBE, Alexandria), using Cu Kα (weighted mean of Kα1 and Kα2).
Kinematic intensities with the Lorentz-polarization factor, no thermal factor.

Peak list (8 most intense, 2θ from 10° to 90°, in order of rising 2θ)
2θ/deg	I (rel.)
11.9	89.0
22.8	100.0
23.9	38.8
27.6	59.4
36.1	58.9
39.5	69.8
46.6	28.1
54.6	26.8

Atomic structure:
Cell lengths 9.135, 9.135, 9.135 Å; angles 60.00, 60.00, 60.00 degrees
Element x y z (fractional)
Cs 0.000 0.000 0.000
Pb 0.133 0.622 0.622
Pb 0.622 0.133 0.622
Pb 0.622 0.622 0.133
Pb 0.622 0.622 0.622
Cl 0.394 0.394 0.394
Cl 0.394 0.394 0.818
Cl 0.394 0.818 0.394
Cl 0.442 0.853 0.853
Cl 0.818 0.394 0.394
Cl 0.853 0.442 0.853
Cl 0.853 0.853 0.442
Cl 0.853 0.853 0.853

# 4
The following is a theoretical powder XRD pattern of Ho2PaO6. It was derived from a DFT-relaxed cell (GGA-PBE, Alexandria), using Cu Kα (weighted mean of Kα1 and Kα2).
Kinematic intensities with the Lorentz-polarization factor, no thermal factor.

Peak list (8 most intense, 2θ from 10° to 90°, in order of rising 2θ)
2θ/deg	I (rel.)
28.6	100.0
28.8	97.8
33.2	67.4
47.4	17.2
47.7	67.0
56.4	30.5
56.8	29.8
79.6	17.8

Atomic structure:
Cell lengths 6.574, 6.574, 6.574 Å; angles 146.07, 131.63, 60.39 degrees
Element x y z (fractional)
Ho 0.168 0.168 0.000
Ho 0.832 0.832 0.000
Pa 0.500 0.500 0.000
O 0.093 0.338 0.755
O 0.260 0.000 0.260
O 0.417 0.662 0.755
O 0.583 0.338 0.245
O 0.740 0.000 0.740
O 0.907 0.662 0.245

# 5
The following is a theoretical powder XRD pattern of LaNdNiPt. It was derived from a DFT-relaxed cell (GGA-PBE, Alexandria), using Cu Kα (weighted mean of Kα1 and Kα2).
Kinematic intensities with the Lorentz-polarization factor, no thermal factor.

Peak list (8 most intense, 2θ from 10° to 90°, in order of rising 2θ)
2θ/deg	I (rel.)
21.4	12.6
35.3	100.0
41.7	7.1
50.8	17.7
55.8	3.2
63.4	36.3
74.7	11.2
85.4	16.0

Atomic structure:
Cell lengths 5.082, 5.082, 5.082 Å; angles 60.00, 60.00, 60.00 degrees
Element x y z (fractional)
La 0.000 0.000 0.000
Nd 0.500 0.500 0.500
Ni 0.250 0.250 0.250
Pt 0.750 0.750 0.750

# 6
The following is a theoretical powder XRD pattern of Pm2Y17. It was derived from a DFT-relaxed cell (GGA-PBE, Alexandria), using Cu Kα (weighted mean of Kα1 and Kα2).
Kinematic intensities with the Lorentz-polarization factor, no thermal factor.

Peak list (8 most intense, 2θ from 10° to 90°, in order of rising 2θ)
2θ/deg	I (rel.)
27.2	27.6
27.3	35.0
30.3	28.0
31.2	54.1
31.3	100.0
31.7	58.3
35.2	41.4
56.4	26.2

Atomic structure:
Cell lengths 8.800, 8.800, 8.800 Å; angles 79.95, 79.95, 79.95 degrees
Element x y z (fractional)
Pm 0.176 0.176 0.176
Pm 0.824 0.824 0.824
Y 0.000 0.500 0.500
Y 0.132 0.132 0.649
Y 0.132 0.649 0.132
Y 0.202 0.500 0.798
Y 0.202 0.798 0.500
Y 0.351 0.868 0.868
Y 0.402 0.402 0.402
Y 0.500 0.000 0.500
Y 0.500 0.202 0.798
Y 0.500 0.500 0.000
Y 0.500 0.798 0.202
Y 0.598 0.598 0.598
Y 0.649 0.132 0.132
Y 0.798 0.202 0.500
Y 0.798 0.500 0.202
Y 0.868 0.351 0.868
Y 0.868 0.868 0.351

# 7
The following is a theoretical powder XRD pattern of TmThNp2As4. It was derived from a DFT-relaxed cell (GGA-PBE, Alexandria), using Cu Kα (weighted mean of Kα1 and Kα2).
Kinematic intensities with the Lorentz-polarization factor, no thermal factor.

Peak list (8 most intense, 2θ from 10° to 90°, in order of rising 2θ)
2θ/deg	I (rel.)
26.4	41.3
30.5	100.0
43.7	75.7
54.3	20.2
63.5	12.6
72.1	17.4
72.2	17.4
80.4	19.7

Atomic structure:
Cell lengths 7.166, 4.138, 7.185 Å; angles 90.00, 109.47, 90.00 degrees
Element x y z (fractional)
Tm 0.000 0.000 0.000
Th 0.000 0.500 0.500
Np 0.500 0.000 0.500
Np 0.500 0.500 0.000
As 0.252 0.500 0.245
As 0.256 0.000 0.759
As 0.744 0.000 0.241
As 0.748 0.500 0.755

# 8
The following is a theoretical powder XRD pattern of Ac5Tl3. It was derived from a DFT-relaxed cell (GGA-PBE, Alexandria), using Cu Kα (weighted mean of Kα1 and Kα2).
Kinematic intensities with the Lorentz-polarization factor, no thermal factor.

Peak list (8 most intense, 2θ from 10° to 90°, in order of rising 2θ)
2θ/deg	I (rel.)
29.5	100.0
30.0	21.2
31.6	24.5
40.2	9.3
44.2	15.1
52.1	9.0
53.0	11.7
55.0	18.1

Atomic structure:
Cell lengths 7.453, 7.453, 5.659 Å; angles 90.00, 90.00, 106.05 degrees
Element x y z (fractional)
Ac 0.000 0.000 0.000
Ac 0.000 0.500 0.000
Ac 0.295 0.295 0.500
Ac 0.500 0.000 0.000
Ac 0.705 0.705 0.500
Tl 0.206 0.794 0.500
Tl 0.500 0.500 0.000
Tl 0.794 0.206 0.500

# 9
The following is a theoretical powder XRD pattern of In3Ir. It was derived from a DFT-relaxed cell (GGA-PBE, Alexandria), using Cu Kα (weighted mean of Kα1 and Kα2).
Kinematic intensities with the Lorentz-polarization factor, no thermal factor.

Peak list (8 most intense, 2θ from 10° to 90°, in order of rising 2θ)
2θ/deg	I (rel.)
22.8	32.7
31.9	42.0
36.0	65.0
36.9	69.3
38.1	72.9
39.6	100.0
40.1	58.4
41.5	55.6

Atomic structure:
Cell lengths 7.540, 8.414, 5.410 Å; angles 90.00, 90.00, 90.00 degrees
Element x y z (fractional)
In 0.012 0.250 0.085
In 0.171 0.054 0.635
In 0.171 0.446 0.635
In 0.329 0.554 0.135
In 0.329 0.946 0.135
In 0.488 0.750 0.585
In 0.512 0.250 0.415
In 0.671 0.054 0.865
In 0.671 0.446 0.865
In 0.829 0.554 0.365
In 0.829 0.946 0.365
In 0.988 0.750 0.915
Ir 0.127 0.750 0.438
Ir 0.373 0.250 0.938
Ir 0.627 0.750 0.062
Ir 0.873 0.250 0.562

# 10
The following is a theoretical powder XRD pattern of AlZn2Cu3. It was derived from a DFT-relaxed cell (GGA-PBE, Alexandria), using Cu Kα (weighted mean of Kα1 and Kα2).
Kinematic intensities with the Lorentz-polarization factor, no thermal factor.

Peak list (8 most intense, 2θ from 10° to 90°, in order of rising 2θ)
2θ/deg	I (rel.)
27.5	22.3
28.9	23.3
38.0	19.0
42.8	100.0
44.4	47.3
44.7	27.7
45.5	21.4
45.9	36.4

Atomic structure:
Cell lengths 10.473, 10.473, 6.478 Å; angles 90.00, 90.00, 165.47 degrees
Element x y z (fractional)
Al 0.143 0.857 0.750
Al 0.857 0.143 0.250
Zn 0.345 0.655 0.750
Zn 0.475 0.525 0.250
Zn 0.525 0.475 0.750
Zn 0.655 0.345 0.250
Cu 0.065 0.935 0.058
Cu 0.065 0.935 0.442
Cu 0.257 0.743 0.250
Cu 0.743 0.257 0.750
Cu 0.935 0.065 0.558
Cu 0.935 0.065 0.942

# 11
The following is a theoretical powder XRD pattern of La5NdY3. It was derived from a DFT-relaxed cell (GGA-PBE, Alexandria), using Cu Kα (weighted mean of Kα1 and Kα2).
Kinematic intensities with the Lorentz-polarization factor, no thermal factor.

Peak list (8 most intense, 2θ from 10° to 90°, in order of rising 2θ)
2θ/deg	I (rel.)
27.8	64.3
28.6	46.9
29.6	100.0
32.0	13.4
33.9	14.1
42.5	13.1
45.4	19.2
51.3	15.6

Atomic structure:
Cell lengths 10.344, 10.344, 10.344 Å; angles 129.43, 129.43, 74.32 degrees
Element x y z (fractional)
La 0.000 0.000 0.000
La 0.056 0.556 0.896
La 0.160 0.056 0.500
La 0.340 0.840 0.896
La 0.444 0.340 0.500
La 0.500 0.500 0.000
La 0.556 0.660 0.500
La 0.660 0.160 0.104
La 0.840 0.944 0.500
La 0.944 0.444 0.104
Nd 0.250 0.750 0.500
Nd 0.750 0.250 0.500
Y 0.121 0.379 0.500
Y 0.250 0.250 0.000
Y 0.379 0.879 0.258
Y 0.621 0.121 0.742
Y 0.750 0.750 0.000
Y 0.879 0.621 0.500

# 12
The following is a theoretical powder XRD pattern of TbGdMo4. It was derived from a DFT-relaxed cell (GGA-PBE, Alexandria), using Cu Kα (weighted mean of Kα1 and Kα2).
Kinematic intensities with the Lorentz-polarization factor, no thermal factor.

Peak list (8 most intense, 2θ from 10° to 90°, in order of rising 2θ)
2θ/deg	I (rel.)
32.4	43.9
38.1	100.0
39.9	25.8
57.7	16.9
61.6	32.1
67.7	25.7
80.5	11.3
81.6	9.4

Atomic structure:
Cell lengths 5.534, 5.534, 5.534 Å; angles 60.00, 60.00, 60.00 degrees
Element x y z (fractional)
Tb 0.000 0.000 0.000
Gd 0.250 0.250 0.250
Mo 0.125 0.625 0.625
Mo 0.625 0.125 0.625
Mo 0.625 0.625 0.125
Mo 0.625 0.625 0.625